Starting from a cell relaxed with GGA-PBE, the powder diffractogram of Co2CuSe4 was computed for Cu Kα, 1.54184 Å.
Neutral-atom scattering factors, no anomalous dispersion.

Peak list (6 most intense, 10 to 90 degrees two-theta, in order of rising 2θ)
hkl	d_spacing	intensity
1 0 1	5.789	236
1 0 3	3.023	498
2 0 2	2.895	502
2 2 0	2.507	974
3 2 1	1.930	532
2 2 4	1.773	1000

Atomic structure:
Lattice parameters (Å, degrees): 7.0846 7.0976 10.0263 90.00 90.00 90.00
Space group Imma (No. 74)
One atom of each set of equivalent atoms:
Co (0.0000, 0.0000, 0.0000)
Co (0.2500, 0.2500, 0.2500)
Cu (0.0000, 0.2500, 0.6252)
Se (0.0000, 0.0256, 0.2372)
Se (0.2243, 0.2500, 0.0128)

Starting from a cell relaxed with GGA-PBE, the powder diffractogram of CoCuSe was computed for Cu Kα, 1.54184 Å.
Neutral-atom scattering factors, no anomalous dispersion.

Peak list (6 most intense, 10 to 90 degrees two-theta, in order of rising 2θ)
hkl	d_spacing	intensity
1 1 0	2.762	274
1 1 1	2.478	434
1 1 2	1.968	1000
2 0 0	1.953	576
2 2 0	1.381	174
3 1 2	1.130	306

Atomic structure:
Lattice parameters (Å, degrees): 3.9064 3.9064 5.6070 90.00 90.00 90.00
Space group P4/nmm (No. 129, origin choice 2)
One atom of each set of equivalent atoms:
Co (0.2500, 0.7500, 0.0000)
Cu (0.2500, 0.2500, 0.3059)
Se (0.2500, 0.2500, 0.7425)

Starting from a cell relaxed with GGA-PBE, the powder diffractogram of CoCuSi was computed for Cu Kα, 1.54184 Å.
Neutral-atom scattering factors, no anomalous dispersion.

Peak list (6 most intense, 10 to 90 degrees two-theta, in order of rising 2θ)
hkl	d_spacing	intensity
1 1 1	2.197	209
0 6 0	2.064	334
0 0 2	2.023	138
1 3 1	1.964	1000
0 2 2	1.923	215
1 9 1	1.171	134

Atomic structure:
Lattice parameters (Å, degrees): 2.6773 12.3850 4.0463 90.00 90.00 90.00
Space group Cmc2_1 (No. 36)
One atom of each set of equivalent atoms:
Co (0.0000, 0.0701, 0.0000)
Cu (0.0000, 0.2533, 0.3541)
Si (0.0000, 0.4144, 0.9911)

Starting from a cell relaxed with GGA-PBE, the powder diffractogram of CoCuSi2 was computed for Cu Kα, 1.54184 Å.
Neutral-atom scattering factors, no anomalous dispersion.

Peak list (6 most intense, 10 to 90 degrees two-theta, in order of rising 2θ)
hkl	d_spacing	intensity
0 0 1	4.741	158
1 0 1	2.644	335
1 1 0	2.252	971
1 0 2	1.901	1000
2 0 0	1.592	308
2 1 2	1.221	430

Atomic structure:
Lattice parameters (Å, degrees): 3.1846 3.1846 4.7409 90.00 90.00 90.00
Space group P4mm (No. 99)
One atom of each set of equivalent atoms:
Co (0.0000, 0.0000, 0.0000)
Cu (0.5000, 0.5000, 0.3056)
Si (0.0000, 0.0000, 0.5117)
Si (0.5000, 0.5000, 0.8140)

Starting from a cell relaxed with GGA-PBE, the powder diffractogram of TbCoCuSi2 was computed for Cu Kα, 1.54184 Å.
Neutral-atom scattering factors, no anomalous dispersion.

Peak list (6 most intense, 10 to 90 degrees two-theta, in order of rising 2θ)
hkl	d_spacing	intensity
1 0 1	3.683	471
1 0 3	2.510	507
1 1 2	2.435	1000
2 0 0	1.991	388
2 1 3	1.560	233
3 1 2	1.218	273

Atomic structure:
Lattice parameters (Å, degrees): 3.9813 3.9813 9.7012 90.00 90.00 90.00
Space group I-4m2 (No. 119)
One atom of each set of equivalent atoms:
Tb (0.0000, 0.0000, 0.0000)
Co (0.0000, 0.5000, 0.2500)
Cu (0.0000, 0.5000, 0.7500)
Si (0.0000, 0.0000, 0.3756)

Starting from a cell relaxed with GGA-PBE, the powder diffractogram of UCoCuSi2 was computed for Cu Kα, 1.54184 Å.
Neutral-atom scattering factors, no anomalous dispersion.

Peak list (6 most intense, 10 to 90 degrees two-theta, in order of rising 2θ)
hkl	d_spacing	intensity
1 0 1	3.655	637
1 0 3	2.498	500
1 1 2	2.418	1000
2 0 0	1.973	306
1 0 5	1.737	353
3 1 2	1.209	256

Atomic structure:
Lattice parameters (Å, degrees): 3.9465 3.9465 9.6807 90.00 90.00 90.00
Space group I-4m2 (No. 119)
One atom of each set of equivalent atoms:
U (0.0000, 0.0000, 0.0000)
Co (0.0000, 0.5000, 0.2500)
Cu (0.0000, 0.5000, 0.7500)
Si (0.0000, 0.0000, 0.3788)

Starting from a cell relaxed with GGA-PBE, the powder diffractogram of ZrCoCuSi2 was computed for Cu Kα, 1.54184 Å.
Neutral-atom scattering factors, no anomalous dispersion.

Peak list (6 most intense, 10 to 90 degrees two-theta, in order of rising 2θ)
hkl	d_spacing	intensity
0 0 4	2.520	167
1 0 3	2.498	360
1 1 2	2.339	1000
2 0 0	1.867	364
1 0 5	1.774	161
3 1 2	1.150	184

Atomic structure:
Lattice parameters (Å, degrees): 3.7342 3.7342 10.0812 90.00 90.00 90.00
Space group I-4m2 (No. 119)
One atom of each set of equivalent atoms:
Zr (0.0000, 0.0000, 0.0000)
Co (0.0000, 0.5000, 0.7500)
Cu (0.0000, 0.5000, 0.2500)
Si (0.0000, 0.0000, 0.3843)

Starting from a cell relaxed with GGA-PBE, the powder diffractogram of SmCo4Cu was computed for Cu Kα, 1.54184 Å.
Neutral-atom scattering factors, no anomalous dispersion.

Peak list (6 most intense, 10 to 90 degrees two-theta, in order of rising 2θ)
hkl	d_spacing	intensity
1 0 1	2.924	461
1 1 0	2.491	333
2 0 0	2.158	332
1 1 1	2.111	1000
0 0 2	1.988	255
3 0 1	1.353	222

Atomic structure:
Lattice parameters (Å, degrees): 4.9830 4.9830 3.9763 90.00 90.00 120.00
Space group P-6m2 (No. 187)
One atom of each set of equivalent atoms:
Sm (0.0000, 0.0000, 0.0000)
Co (0.5014, 0.0027, 0.5000)
Co (0.6667, 0.3333, 0.0000)
Cu (0.3333, 0.6667, 0.0000)

Starting from a cell relaxed with GGA-PBE, the powder diffractogram of CoCuSn5 was computed for Cu Kα, 1.54184 Å.
Neutral-atom scattering factors, no anomalous dispersion.

Peak list (6 most intense, 10 to 90 degrees two-theta, in order of rising 2θ)
hkl	d_spacing	intensity
3 1 -1	3.273	377
1 1 2	3.128	387
2 2 -1	2.943	1000
1 1 -3	2.869	348
3 1 1	2.584	509
2 0 -4	2.381	678

Atomic structure:
Lattice parameters (Å, degrees): 11.1170 6.9844 9.5258 90.00 114.40 90.00
Space group C2/c (No. 15)
One atom of each set of equivalent atoms:
Co (0.0000, 0.0000, 0.0000)
Cu (0.0000, 0.4646, 0.2500)
Sn (0.0000, 0.0514, 0.2500)
Sn (0.1056, 0.3330, 0.0209)
Sn (0.2377, 0.1067, 0.6230)

Starting from a cell relaxed with GGA-PBE, the powder diffractogram of Tb3Co2Cu4 was computed for Cu Kα, 1.54184 Å.
Neutral-atom scattering factors, no anomalous dispersion.

Peak list (6 most intense, 10 to 90 degrees two-theta, in order of rising 2θ)
hkl	d_spacing	intensity
1 1 -1	3.566	241
4 0 -1	2.579	303
3 1 0	2.558	1000
1 1 2	2.547	631
3 1 -3	2.076	565
0 2 0	2.050	289

Atomic structure:
Lattice parameters (Å, degrees): 10.3165 4.1004 8.0692 90.00 107.96 90.00
Space group C2/m (No. 12)
One atom of each set of equivalent atoms:
Tb (0.0000, 0.0000, 0.0000)
Tb (0.1759, 0.5000, 0.6540)
Co (0.1047, 0.5000, 0.2722)
Cu (0.0449, 0.0000, 0.3780)
Cu (0.2205, 0.5000, 0.0596)

Starting from a cell relaxed with GGA-PBE, the powder diffractogram of Tb4CoCu3 was computed for Cu Kα, 1.54184 Å.
Neutral-atom scattering factors, no anomalous dispersion.

Peak list (6 most intense, 10 to 90 degrees two-theta, in order of rising 2θ)
hkl	d_spacing	intensity
0 1 2	3.347	376
1 1 1	2.746	1000
0 0 4	2.589	231
1 0 3	2.538	415
0 2 0	2.196	748
1 2 3	1.660	229

Atomic structure:
Lattice parameters (Å, degrees): 3.7434 4.3875 10.3554 90.00 90.00 90.00
Space group Pmm2 (No. 25)
One atom of each set of equivalent atoms:
Tb (0.0000, 0.0000, 0.0000)
Tb (0.0000, 0.5000, 0.2679)
Tb (0.5000, 0.0000, 0.4785)
Tb (0.5000, 0.5000, 0.7725)
Co (0.5000, 0.0000, 0.2044)
Cu (0.0000, 0.0000, 0.6991)
Cu (0.0000, 0.5000, 0.5595)
Cu (0.5000, 0.5000, 0.0605)

Starting from a cell relaxed with GGA-PBE, the powder diffractogram of Tb4CoCu was computed for Cu Kα, 1.54184 Å.
Neutral-atom scattering factors, no anomalous dispersion.

Peak list (6 most intense, 10 to 90 degrees two-theta, in order of rising 2θ)
hkl	d_spacing	intensity
2 2 0	3.262	275
2 0 2	3.027	1000
3 1 0	2.918	354
3 1 2	2.360	261
4 0 0	2.307	223
3 3 2	1.912	338

Atomic structure:
Lattice parameters (Å, degrees): 9.2263 9.2263 8.0238 90.00 90.00 90.00
Space group I4_1md (No. 109)
One atom of each set of equivalent atoms:
Tb (0.0000, 0.1967, 0.0000)
Tb (0.0000, 0.2039, 0.4708)
Co (0.0000, 0.0000, 0.2365)
Cu (0.0000, 0.0000, 0.7351)